No. 1
Ac2Tl5Sn: calculated PXRD pattern (Cu Ka), based on a structure optimized by DFT (PBE).

Main lines, in order of falling intensity (2θ from 10° to 90°):
d 2.902, 2θ = 30.81°, rel. 100
d 2.871, 2θ = 31.15°, rel. 99
d 2.524, 2θ = 35.56°, rel. 68
d 1.759, 2θ = 51.99°, rel. 47
d 2.452, 2θ = 36.65°, rel. 32
d 1.511, 2θ = 61.33°, rel. 29
d 1.525, 2θ = 60.74°, rel. 29
d 1.122, 2θ = 86.80°, rel. 16
d 1.484, 2θ = 62.58°, rel. 14
d 1.488, 2θ = 62.39°, rel. 14

Atomic structure:
```
data_Ac2Tl5Sn
_chemical_formula_sum 'Ac4 Tl10 Sn2'
_cell_length_a 7.1984
_cell_length_b 14.1655
_cell_length_c 4.9044
_cell_angle_alpha 90.00
_cell_angle_beta 90.00
_cell_angle_gamma 90.00
_symmetry_space_group_name_H-M 'P 1'
_symmetry_Int_Tables_number 1
loop_
_symmetry_equiv_pos_as_xyz
'x,y,z'
loop_
_atom_site_label
_atom_site_fract_x
_atom_site_fract_y
_atom_site_fract_z
_atom_site_occupancy
Ac1 0.2393 0.1213 0.0000 1
Ac2 0.2607 0.6213 0.0000 1
Ac3 0.7393 0.3787 0.0000 1
Ac4 0.7607 0.8787 0.0000 1
Tl1 0.0000 0.5000 0.5000 1
Tl2 0.0150 0.7523 0.5000 1
Tl3 0.2406 0.3721 0.0000 1
Tl4 0.2594 0.8721 0.0000 1
Tl5 0.4850 0.2523 0.5000 1
Tl6 0.5000 0.0000 0.5000 1
Tl7 0.5150 0.7477 0.5000 1
Tl8 0.7406 0.1279 0.0000 1
Tl9 0.7594 0.6279 0.0000 1
Tl10 0.9850 0.2477 0.5000 1
Sn1 0.0000 0.0000 0.5000 1
Sn2 0.5000 0.5000 0.5000 1
```

***

No. 2
Ac7Pt5Au: calculated PXRD pattern (Cu Ka), based on a structure optimized by DFT (PBE).

Main lines, in order of falling intensity (2θ from 10° to 90°):
d 3.052, 2θ = 29.27°, rel. 100
d 3.160, 2θ = 28.24°, rel. 93
d 3.335, 2θ = 26.73°, rel. 74
d 2.206, 2θ = 40.92°, rel. 72
d 2.191, 2θ = 41.20°, rel. 48
d 2.225, 2θ = 40.54°, rel. 38
d 2.992, 2θ = 29.86°, rel. 29
d 1.831, 2θ = 49.79°, rel. 28
d 2.395, 2θ = 37.56°, rel. 26
d 2.279, 2θ = 39.55°, rel. 25

Atomic structure:
```
data_Ac7Pt5Au
_chemical_formula_sum 'Ac14 Pt10 Au2'
_cell_length_a 7.6195
_cell_length_b 7.6195
_cell_length_c 26.2446
_cell_angle_alpha 90.03
_cell_angle_beta 90.03
_cell_angle_gamma 33.43
_symmetry_space_group_name_H-M 'P 1'
_symmetry_Int_Tables_number 1
loop_
_symmetry_equiv_pos_as_xyz
'x,y,z'
loop_
_atom_site_label
_atom_site_fract_x
_atom_site_fract_y
_atom_site_fract_z
_atom_site_occupancy
Ac1 0.0461 0.0461 0.2501 1
Ac2 0.1359 0.1359 0.5361 1
Ac3 0.1359 0.1359 0.9640 1
Ac4 0.3219 0.3219 0.1734 1
Ac5 0.3217 0.3217 0.3265 1
Ac6 0.4099 0.4099 0.6053 1
Ac7 0.4098 0.4098 0.8947 1
Ac8 0.5902 0.5902 0.1053 1
Ac9 0.5901 0.5901 0.3947 1
Ac10 0.6783 0.6783 0.6735 1
Ac11 0.6781 0.6781 0.8266 1
Ac12 0.8641 0.8641 0.0360 1
Ac13 0.8641 0.8641 0.4639 1
Ac14 0.9539 0.9539 0.7499 1
Pt1 0.0421 0.0421 0.6454 1
Pt2 0.0418 0.0418 0.8545 1
Pt3 0.2267 0.2267 0.0724 1
Pt4 0.2266 0.2266 0.4276 1
Pt5 0.5000 0.5000 0.0000 1
Pt6 0.5000 0.5000 0.5000 1
Pt7 0.7734 0.7734 0.5724 1
Pt8 0.7733 0.7733 0.9276 1
Pt9 0.9582 0.9582 0.1455 1
Pt10 0.9579 0.9579 0.3546 1
Au1 0.2895 0.2895 0.7502 1
Au2 0.7105 0.7105 0.2498 1
```

***

No. 3
Cs2TaSbF6: calculated PXRD pattern (Cu Ka), based on a structure optimized by DFT (PBE).

Main lines, in order of falling intensity (2θ from 10° to 90°):
d 3.807, 2θ = 23.37°, rel. 100
d 3.673, 2θ = 24.23°, rel. 45
d 2.145, 2θ = 42.12°, rel. 37
d 2.597, 2θ = 34.53°, rel. 25
d 2.225, 2θ = 40.54°, rel. 19
d 1.903, 2θ = 47.79°, rel. 16
d 2.797, 2θ = 31.99°, rel. 15
d 1.755, 2θ = 52.11°, rel. 14
d 1.454, 2θ = 64.03°, rel. 13
d 6.141, 2θ = 14.42°, rel. 12

Atomic structure:
```
data_Cs2TaSbF6
_chemical_formula_sum 'Cs2 Ta1 Sb1 F6'
_cell_length_a 7.6343
_cell_length_b 7.6343
_cell_length_c 7.6343
_cell_angle_alpha 122.48
_cell_angle_beta 122.48
_cell_angle_gamma 85.75
_symmetry_space_group_name_H-M 'P 1'
_symmetry_Int_Tables_number 1
loop_
_symmetry_equiv_pos_as_xyz
'x,y,z'
loop_
_atom_site_label
_atom_site_fract_x
_atom_site_fract_y
_atom_site_fract_z
_atom_site_occupancy
Cs1 0.2500 0.7500 0.5000 1
Cs2 0.7500 0.2500 0.5000 1
Ta1 0.0000 0.0000 0.0000 1
Sb1 0.5000 0.5000 0.0000 1
F1 0.1724 0.1724 0.0000 1
F2 0.1856 0.1856 0.3711 1
F3 0.1856 0.8144 0.0000 1
F4 0.8144 0.1856 0.0000 1
F5 0.8144 0.8144 0.6289 1
F6 0.8276 0.8276 0.0000 1
```

***

No. 4
LaTbSm2Dy: calculated PXRD pattern (Cu Ka), based on a structure optimized by DFT (PBE).

Main lines, in order of falling intensity (2θ from 10° to 90°):
d 2.794, 2θ = 32.03°, rel. 100
d 3.042, 2θ = 29.36°, rel. 98
d 2.928, 2θ = 30.53°, rel. 97
d 3.287, 2θ = 27.12°, rel. 66
d 2.559, 2θ = 35.06°, rel. 56
d 3.113, 2θ = 28.68°, rel. 53
d 2.157, 2θ = 41.87°, rel. 51
d 3.087, 2θ = 28.93°, rel. 48
d 2.536, 2θ = 35.40°, rel. 45
d 1.591, 2θ = 57.95°, rel. 43

Atomic structure:
```
data_LaTbSm2Dy
_chemical_formula_sum 'La2 Tb2 Sm4 Dy2'
_cell_length_a 8.6223
_cell_length_b 6.5137
_cell_length_c 6.3061
_cell_angle_alpha 90.00
_cell_angle_beta 99.19
_cell_angle_gamma 90.00
_symmetry_space_group_name_H-M 'P 1'
_symmetry_Int_Tables_number 1
loop_
_symmetry_equiv_pos_as_xyz
'x,y,z'
loop_
_atom_site_label
_atom_site_fract_x
_atom_site_fract_y
_atom_site_fract_z
_atom_site_occupancy
La1 0.0000 0.0000 0.0000 1
La2 0.0000 0.0000 0.5000 1
Tb1 0.0000 0.4451 0.2500 1
Tb2 0.0000 0.5549 0.7500 1
Sm1 0.3145 0.3168 0.6983 1
Sm2 0.3145 0.6832 0.1983 1
Sm3 0.6855 0.3168 0.8017 1
Sm4 0.6855 0.6832 0.3017 1
Dy1 0.5000 0.1649 0.2500 1
Dy2 0.5000 0.8351 0.7500 1
```

***

No. 5
Er2PaRu2: calculated PXRD pattern (Cu Ka), based on a structure optimized by DFT (PBE).

Main lines, in order of falling intensity (2θ from 10° to 90°):
d 2.729, 2θ = 32.82°, rel. 100
d 2.319, 2θ = 38.83°, rel. 66
d 2.377, 2θ = 37.85°, rel. 64
d 2.772, 2θ = 32.29°, rel. 57
d 2.544, 2θ = 35.28°, rel. 56
d 2.513, 2θ = 35.74°, rel. 41
d 2.850, 2θ = 31.38°, rel. 39
d 2.291, 2θ = 39.33°, rel. 35
d 1.454, 2θ = 64.02°, rel. 33
d 1.854, 2θ = 49.14°, rel. 29

Atomic structure:
```
data_Er2PaRu2
_chemical_formula_sum 'Er4 Pa2 Ru4'
_cell_length_a 5.8183
_cell_length_b 5.8183
_cell_length_c 7.8212
_cell_angle_alpha 99.87
_cell_angle_beta 99.87
_cell_angle_gamma 60.25
_symmetry_space_group_name_H-M 'P 1'
_symmetry_Int_Tables_number 1
loop_
_symmetry_equiv_pos_as_xyz
'x,y,z'
loop_
_atom_site_label
_atom_site_fract_x
_atom_site_fract_y
_atom_site_fract_z
_atom_site_occupancy
Er1 0.0201 0.2831 0.1517 1
Er2 0.2831 0.0201 0.6517 1
Er3 0.7169 0.9799 0.3483 1
Er4 0.9799 0.7169 0.8483 1
Pa1 0.3581 0.6419 0.2500 1
Pa2 0.6419 0.3581 0.7500 1
Ru1 0.2365 0.5045 0.4873 1
Ru2 0.4955 0.7635 0.0127 1
Ru3 0.5045 0.2365 0.9873 1
Ru4 0.7635 0.4955 0.5127 1
```

***

No. 6
Tb4Pr2NdHo: calculated PXRD pattern (Cu Ka), based on a structure optimized by DFT (PBE).

Main lines, in order of falling intensity (2θ from 10° to 90°):
d 2.947, 2θ = 30.33°, rel. 100
d 1.806, 2θ = 50.53°, rel. 24
d 2.561, 2θ = 35.03°, rel. 17
d 2.551, 2θ = 35.18°, rel. 17
d 2.543, 2θ = 35.29°, rel. 17
d 1.543, 2θ = 59.95°, rel. 14
d 1.539, 2θ = 60.14°, rel. 14
d 1.535, 2θ = 60.30°, rel. 14
d 1.473, 2θ = 63.10°, rel. 12
d 1.801, 2θ = 50.69°, rel. 12

Atomic structure:
```
data_Tb4Pr2NdHo
_chemical_formula_sum 'Tb4 Pr2 Nd1 Ho1'
_cell_length_a 5.1023
_cell_length_b 5.1229
_cell_length_c 10.1725
_cell_angle_alpha 90.00
_cell_angle_beta 90.05
_cell_angle_gamma 90.00
_symmetry_space_group_name_H-M 'P 1'
_symmetry_Int_Tables_number 1
loop_
_symmetry_equiv_pos_as_xyz
'x,y,z'
loop_
_atom_site_label
_atom_site_fract_x
_atom_site_fract_y
_atom_site_fract_z
_atom_site_occupancy
Tb1 0.9999 0.0000 0.2475 1
Tb2 0.0001 0.0000 0.7525 1
Tb3 0.5001 0.5000 0.2479 1
Tb4 0.4999 0.5000 0.7521 1
Pr1 0.0000 0.5000 0.0000 1
Pr2 0.5000 0.0000 0.5000 1
Nd1 0.0000 0.5000 0.5000 1
Ho1 0.5000 0.0000 0.0000 1
```

***

No. 7
PmAl3Fe2: calculated PXRD pattern (Cu Ka), based on a structure optimized by DFT (PBE).

Main lines, in order of falling intensity (2θ from 10° to 90°):
d 2.614, 2θ = 34.30°, rel. 100
d 3.960, 2θ = 22.45°, rel. 60
d 2.672, 2θ = 33.54°, rel. 60
d 2.267, 2θ = 39.75°, rel. 41
d 3.179, 2θ = 28.07°, rel. 35
d 2.465, 2θ = 36.45°, rel. 31
d 2.162, 2θ = 41.78°, rel. 27
d 3.047, 2θ = 29.32°, rel. 26
d 1.617, 2θ = 56.94°, rel. 24
d 1.878, 2θ = 48.48°, rel. 22

Atomic structure:
```
data_PmAl3Fe2
_chemical_formula_sum 'Pm2 Al6 Fe4'
_cell_length_a 6.3874
_cell_length_b 6.3874
_cell_length_c 5.1071
_cell_angle_alpha 90.00
_cell_angle_beta 90.00
_cell_angle_gamma 78.97
_symmetry_space_group_name_H-M 'P 1'
_symmetry_Int_Tables_number 1
loop_
_symmetry_equiv_pos_as_xyz
'x,y,z'
loop_
_atom_site_label
_atom_site_fract_x
_atom_site_fract_y
_atom_site_fract_z
_atom_site_occupancy
Pm1 0.1576 0.8424 0.7500 1
Pm2 0.8424 0.1576 0.2500 1
Al1 0.0348 0.5744 0.2500 1
Al2 0.4256 0.9652 0.2500 1
Al3 0.4545 0.5455 0.2500 1
Al4 0.5455 0.4545 0.7500 1
Al5 0.5744 0.0348 0.7500 1
Al6 0.9652 0.4256 0.7500 1
Fe1 0.2868 0.2868 0.0000 1
Fe2 0.2868 0.2868 0.5000 1
Fe3 0.7132 0.7132 0.0000 1
Fe4 0.7132 0.7132 0.5000 1
```

***

No. 8
GaTeCl: calculated PXRD pattern (Cu Ka), based on a structure optimized by DFT (PBE).

Main lines, in order of falling intensity (2θ from 10° to 90°):
d 3.394, 2θ = 26.26°, rel. 100
d 6.750, 2θ = 13.12°, rel. 82
d 2.080, 2θ = 43.51°, rel. 37
d 2.694, 2θ = 33.26°, rel. 25
d 1.773, 2θ = 51.54°, rel. 21
d 2.069, 2θ = 43.75°, rel. 20
d 1.988, 2θ = 45.63°, rel. 19
d 1.349, 2θ = 69.68°, rel. 16
d 3.375, 2θ = 26.41°, rel. 15
d 1.768, 2θ = 51.71°, rel. 13

Atomic structure:
```
data_GaTeCl
_chemical_formula_sum 'Ga1 Te1 Cl1'
_cell_length_a 4.1591
_cell_length_b 4.1604
_cell_length_c 7.1550
_cell_angle_alpha 90.06
_cell_angle_beta 106.67
_cell_angle_gamma 119.99
_symmetry_space_group_name_H-M 'P 1'
_symmetry_Int_Tables_number 1
loop_
_symmetry_equiv_pos_as_xyz
'x,y,z'
loop_
_atom_site_label
_atom_site_fract_x
_atom_site_fract_y
_atom_site_fract_z
_atom_site_occupancy
Ga1 0.0000 0.0000 0.0000 1
Te1 0.2155 0.6075 0.8211 1
Cl1 0.2111 0.1071 0.3205 1
```

***

No. 9
Nb14GaIr: calculated PXRD pattern (Cu Ka), based on a structure optimized by DFT (PBE).

Main lines, in order of falling intensity (2θ from 10° to 90°):
d 2.341, 2θ = 38.46°, rel. 100
d 2.305, 2θ = 39.08°, rel. 48
d 1.337, 2θ = 70.40°, rel. 32
d 1.358, 2θ = 69.15°, rel. 17
d 1.630, 2θ = 56.46°, rel. 16
d 1.170, 2θ = 82.41°, rel. 10
d 1.682, 2θ = 54.58°, rel. 9
d 4.681, 2θ = 18.96°, rel. 3
d 1.153, 2θ = 83.90°, rel. 3
d 5.435, 2θ = 16.31°, rel. 2

Atomic structure:
```
data_Nb14GaIr
_chemical_formula_sum 'Nb14 Ga1 Ir1'
_cell_length_a 5.7088
_cell_length_b 5.7088
_cell_length_c 9.2118
_cell_angle_alpha 90.00
_cell_angle_beta 90.00
_cell_angle_gamma 107.81
_symmetry_space_group_name_H-M 'P 1'
_symmetry_Int_Tables_number 1
loop_
_symmetry_equiv_pos_as_xyz
'x,y,z'
loop_
_atom_site_label
_atom_site_fract_x
_atom_site_fract_y
_atom_site_fract_z
_atom_site_occupancy
Nb1 0.0000 0.0000 0.0000 1
Nb2 0.0000 0.5000 0.0000 1
Nb3 0.0000 0.5000 0.5000 1
Nb4 0.2455 0.7545 0.2570 1
Nb5 0.2455 0.7545 0.7430 1
Nb6 0.2579 0.2579 0.2545 1
Nb7 0.2579 0.2579 0.7455 1
Nb8 0.5000 0.0000 0.0000 1
Nb9 0.5000 0.0000 0.5000 1
Nb10 0.5000 0.5000 0.0000 1
Nb11 0.7421 0.7421 0.2545 1
Nb12 0.7421 0.7421 0.7455 1
Nb13 0.7545 0.2455 0.2570 1
Nb14 0.7545 0.2455 0.7430 1
Ga1 0.0000 0.0000 0.5000 1
Ir1 0.5000 0.5000 0.5000 1
```

***

No. 10
La3Ga6Au5: calculated PXRD pattern (Cu Ka), based on a structure optimized by DFT (PBE).

Main lines, in order of falling intensity (2θ from 10° to 90°):
d 2.667, 2θ = 33.60°, rel. 100
d 2.305, 2θ = 39.08°, rel. 56
d 2.763, 2θ = 32.40°, rel. 36
d 2.278, 2θ = 39.55°, rel. 31
d 2.590, 2θ = 34.63°, rel. 29
d 2.422, 2θ = 37.12°, rel. 27
d 2.068, 2θ = 43.77°, rel. 27
d 1.428, 2θ = 65.37°, rel. 25
d 3.063, 2θ = 29.15°, rel. 21
d 1.770, 2θ = 51.65°, rel. 20

Atomic structure:
```
data_La3Ga6Au5
_chemical_formula_sum 'La6 Ga12 Au10'
_cell_length_a 4.6091
_cell_length_b 13.6685
_cell_length_c 9.3940
_cell_angle_alpha 90.00
_cell_angle_beta 90.00
_cell_angle_gamma 90.00
_symmetry_space_group_name_H-M 'P 1'
_symmetry_Int_Tables_number 1
loop_
_symmetry_equiv_pos_as_xyz
'x,y,z'
loop_
_atom_site_label
_atom_site_fract_x
_atom_site_fract_y
_atom_site_fract_z
_atom_site_occupancy
La1 0.2500 0.0497 0.2479 1
La2 0.2500 0.4503 0.2479 1
La3 0.2500 0.7500 0.2555 1
La4 0.7500 0.2500 0.7445 1
La5 0.7500 0.5497 0.7521 1
La6 0.7500 0.9503 0.7521 1
Ga1 0.2500 0.0882 0.8912 1
Ga2 0.2500 0.2500 0.0583 1
Ga3 0.2500 0.2500 0.4444 1
Ga4 0.2500 0.4118 0.8912 1
Ga5 0.2500 0.5980 0.5280 1
Ga6 0.2500 0.9020 0.5280 1
Ga7 0.7500 0.0980 0.4720 1
Ga8 0.7500 0.4020 0.4720 1
Ga9 0.7500 0.5882 0.1088 1
Ga10 0.7500 0.7500 0.5556 1
Ga11 0.7500 0.7500 0.9417 1
Ga12 0.7500 0.9118 0.1088 1
Au1 0.2500 0.0961 0.6153 1
Au2 0.2500 0.4039 0.6153 1
Au3 0.2500 0.6156 0.9758 1
Au4 0.2500 0.7500 0.7215 1
Au5 0.2500 0.8844 0.9758 1
Au6 0.7500 0.1156 0.0242 1
Au7 0.7500 0.2500 0.2785 1
Au8 0.7500 0.3844 0.0242 1
Au9 0.7500 0.5961 0.3847 1
Au10 0.7500 0.9039 0.3847 1
```

***

No. 11
Hf4Ti2Pb: calculated PXRD pattern (Cu Ka), based on a structure optimized by DFT (PBE).

Main lines, in order of falling intensity (2θ from 10° to 90°):
d 2.545, 2θ = 35.26°, rel. 100
d 2.337, 2θ = 38.52°, rel. 46
d 5.984, 2θ = 14.80°, rel. 44
d 3.186, 2θ = 28.00°, rel. 23
d 1.298, 2θ = 72.88°, rel. 19
d 2.177, 2θ = 41.47°, rel. 18
d 2.597, 2θ = 34.54°, rel. 16
d 1.356, 2θ = 69.32°, rel. 15
d 1.312, 2θ = 71.96°, rel. 14
d 1.864, 2θ = 48.87°, rel. 13

Atomic structure:
```
data_Hf4Ti2Pb
_chemical_formula_sum 'Hf8 Ti4 Pb2'
_cell_length_a 7.9452
_cell_length_b 7.9452
_cell_length_c 7.9452
_cell_angle_alpha 124.56
_cell_angle_beta 124.56
_cell_angle_gamma 82.27
_symmetry_space_group_name_H-M 'P 1'
_symmetry_Int_Tables_number 1
loop_
_symmetry_equiv_pos_as_xyz
'x,y,z'
loop_
_atom_site_label
_atom_site_fract_x
_atom_site_fract_y
_atom_site_fract_z
_atom_site_occupancy
Hf1 0.0144 0.5144 0.2081 1
Hf2 0.1937 0.9856 0.5000 1
Hf3 0.3063 0.8063 0.7919 1
Hf4 0.4856 0.6937 0.5000 1
Hf5 0.5144 0.3063 0.5000 1
Hf6 0.6937 0.1937 0.2081 1
Hf7 0.8063 0.0144 0.5000 1
Hf8 0.9856 0.4856 0.7919 1
Ti1 0.1421 0.3579 0.5000 1
Ti2 0.3579 0.8579 0.2158 1
Ti3 0.6421 0.1421 0.7842 1
Ti4 0.8579 0.6421 0.5000 1
Pb1 0.2500 0.2500 0.0000 1
Pb2 0.7500 0.7500 0.0000 1
```

***

No. 12
Hf5CoP3: calculated PXRD pattern (Cu Ka), based on a structure optimized by DFT (PBE).

Main lines, in order of falling intensity (2θ from 10° to 90°):
d 2.473, 2θ = 36.33°, rel. 100
d 2.446, 2θ = 36.75°, rel. 66
d 2.907, 2θ = 30.75°, rel. 65
d 2.416, 2θ = 37.21°, rel. 45
d 2.649, 2θ = 33.84°, rel. 37
d 1.795, 2θ = 50.86°, rel. 36
d 2.362, 2θ = 38.10°, rel. 36
d 2.608, 2θ = 34.39°, rel. 34
d 3.147, 2θ = 28.36°, rel. 30
d 2.222, 2θ = 40.59°, rel. 30

Atomic structure:
```
data_Hf5CoP3
_chemical_formula_sum 'Hf20 Co4 P12'
_cell_length_a 16.9942
_cell_length_b 3.5906
_cell_length_c 10.2164
_cell_angle_alpha 90.00
_cell_angle_beta 90.00
_cell_angle_gamma 90.00
_symmetry_space_group_name_H-M 'P 1'
_symmetry_Int_Tables_number 1
loop_
_symmetry_equiv_pos_as_xyz
'x,y,z'
loop_
_atom_site_label
_atom_site_fract_x
_atom_site_fract_y
_atom_site_fract_z
_atom_site_occupancy
Hf1 0.0232 0.2500 0.1214 1
Hf2 0.0753 0.7500 0.5612 1
Hf3 0.1315 0.2500 0.8158 1
Hf4 0.1686 0.7500 0.2530 1
Hf5 0.2268 0.2500 0.4881 1
Hf6 0.2732 0.7500 0.9881 1
Hf7 0.3314 0.2500 0.7530 1
Hf8 0.3685 0.7500 0.3158 1
Hf9 0.4247 0.2500 0.0612 1
Hf10 0.4768 0.7500 0.6214 1
Hf11 0.5232 0.2500 0.3786 1
Hf12 0.5753 0.7500 0.9388 1
Hf13 0.6315 0.2500 0.6842 1
Hf14 0.6686 0.7500 0.2470 1
Hf15 0.7268 0.2500 0.0119 1
Hf16 0.7732 0.7500 0.5119 1
Hf17 0.8314 0.2500 0.7470 1
Hf18 0.8685 0.7500 0.1842 1
Hf19 0.9247 0.2500 0.4388 1
Hf20 0.9768 0.7500 0.8786 1
Co1 0.0886 0.2500 0.3670 1
Co2 0.4114 0.7500 0.8670 1
Co3 0.5886 0.2500 0.1330 1
Co4 0.9114 0.7500 0.6330 1
P1 0.0096 0.7500 0.3104 1
P2 0.1166 0.7500 0.0062 1
P3 0.2170 0.7500 0.6852 1
P4 0.2830 0.2500 0.1852 1
P5 0.3834 0.2500 0.5062 1
P6 0.4904 0.2500 0.8104 1
P7 0.5096 0.7500 0.1896 1
P8 0.6166 0.7500 0.4938 1
P9 0.7170 0.7500 0.8148 1
P10 0.7830 0.2500 0.3148 1
P11 0.8834 0.2500 0.9938 1
P12 0.9904 0.2500 0.6896 1
```